[1]
For CeGa6Pt3, the PBE geometry in Alexandria gives the computed X-ray diffraction stick pattern in this record (CuKα).

Principal peaks in the range 2θ = 10–90°, in order of rising 2θ:
two_theta	d_spacing	I_rel	h k l
22.81	3.899	40.2	2 0 1
24.44	3.642	66.0	1 1 -1
29.97	2.982	41.2	2 1 -1
30.68	2.914	62.1	1 0 3
32.50	2.755	37.0	3 0 1
36.06	2.491	49.1	2 0 3
36.94	2.433	72.0	3 1 0
37.67	2.388	58.4	3 1 -1
41.56	2.173	98.7	0 2 0
44.16	2.051	100.0	1 1 -4
45.83	1.980	45.5	3 1 -3
46.20	1.965	40.4	4 1 0

Atomic structure:
```
data_CeGa6Pt3
_chemical_formula_sum 'Ce2 Ga12 Pt6'
_symmetry_space_group_name_H-M 'P 1 21/m 1'
_symmetry_Int_Tables_number 11
_symmetry_space_group_name_Hall '-P 2yb'
_cell_length_a 8.829
_cell_length_b 4.346
_cell_length_c 9.498
_cell_angle_alpha 90.00
_cell_angle_beta 93.72
_cell_angle_gamma 90.00
loop_
_atom_site_label
_atom_site_type_symbol
_atom_site_fract_x
_atom_site_fract_y
_atom_site_fract_z
Ce1 Ce 0.056 0.250 0.294
Ga1 Ga 0.107 0.750 0.034
Ga2 Ga 0.165 0.250 0.616
Ga3 Ga 0.294 0.750 0.253
Ga4 Ga 0.305 0.750 0.785
Ga5 Ga 0.427 0.250 0.433
Ga6 Ga 0.464 0.250 0.903
Pt1 Pt 0.173 0.250 0.896
Pt2 Pt 0.273 0.750 0.515
Pt3 Pt 0.398 0.250 0.159
```

***

[2]
For Ce4Ga16Pt3, the PBE geometry in Alexandria gives the computed X-ray diffraction stick pattern in this record (CuKα).

Principal peaks in the range 2θ = 10–90°, in order of rising 2θ:
two_theta	d_spacing	I_rel	h k l
20.01	4.437	20.0	1 1 0
21.54	4.126	35.6	1 1 1
31.29	2.859	59.4	1 1 3
37.42	2.403	100.0	2 0 3
40.20	2.243	22.7	0 0 5
40.67	2.219	85.9	2 2 0
43.28	2.091	39.5	2 0 4
52.19	1.753	26.1	3 1 3
58.52	1.577	17.5	2 2 5
58.87	1.569	26.9	4 0 0
71.87	1.314	24.3	4 2 3
75.82	1.255	19.8	4 2 4

Atomic structure:
```
data_Ce4Ga16Pt3
_chemical_formula_sum 'Ce4 Ga16 Pt3'
_symmetry_space_group_name_H-M 'P 4/m m m'
_symmetry_Int_Tables_number 123
_symmetry_space_group_name_Hall '-P 4 2'
_cell_length_a 6.275
_cell_length_b 6.275
_cell_length_c 11.215
_cell_angle_alpha 90.00
_cell_angle_beta 90.00
_cell_angle_gamma 90.00
loop_
_atom_site_label
_atom_site_type_symbol
_atom_site_fract_x
_atom_site_fract_y
_atom_site_fract_z
Ce1 Ce 0.000 0.500 0.191
Ga1 Ga 0.000 0.000 0.201
Ga2 Ga 0.210 0.210 0.000
Ga3 Ga 0.247 0.247 0.377
Ga4 Ga 0.500 0.500 0.231
Pt1 Pt 0.000 0.500 0.500
Pt2 Pt 0.500 0.500 0.000
```

***

[3]
For Ce2GaPt3, the PBE geometry in Alexandria gives the computed X-ray diffraction stick pattern in this record (CuKα).

Principal peaks in the range 2θ = 10–90°, in order of rising 2θ:
two_theta	d_spacing	I_rel	h k l
29.43	3.035	36.4	1 0 3
33.73	2.657	100.0	1 0 4
40.14	2.246	88.1	1 1 0
47.58	1.911	9.1	1 1 4
49.73	1.833	20.2	1 0 7
53.41	1.715	27.2	2 0 4
65.74	1.420	8.9	2 0 7
66.10	1.414	15.2	1 1 8
68.87	1.363	27.2	2 1 4
72.95	1.297	15.3	3 0 0
79.91	1.200	10.4	2 1 7
86.69	1.123	10.0	2 2 0

Atomic structure:
```
data_Ce2GaPt3
_chemical_formula_sum 'Ce4 Ga2 Pt6'
_symmetry_space_group_name_H-M 'P 63/m m c'
_symmetry_Int_Tables_number 194
_symmetry_space_group_name_Hall '-P 6c 2c'
_cell_length_a 4.4924
_cell_length_b 4.4924
_cell_length_c 14.5515
_cell_angle_alpha 90.00
_cell_angle_beta 90.00
_cell_angle_gamma 120.00
loop_
_atom_site_label
_atom_site_type_symbol
_atom_site_fract_x
_atom_site_fract_y
_atom_site_fract_z
Ce1 Ce 0.0000 0.0000 0.1238
Ga1 Ga 0.3333 0.6667 0.2500
Pt1 Pt 0.3333 0.6667 0.0299
Pt2 Pt 0.3333 0.6667 0.7500
```

***

[4]
For Ce7Ga2Pt2, the PBE geometry in Alexandria gives the computed X-ray diffraction stick pattern in this record (CuKα).

Principal peaks in the range 2θ = 10–90°, in order of rising 2θ:
two_theta	d_spacing	I_rel	h k l
25.75	3.459	64.8	2 0 1
27.67	3.224	45.0	2 2 0
29.84	2.995	28.3	1 1 2
30.29	2.951	32.0	1 3 1
30.72	2.911	27.8	2 2 1
33.27	2.693	72.0	0 4 0
34.64	2.589	36.9	2 0 2
38.23	2.354	56.3	1 3 2
38.58	2.334	100.0	2 2 2
40.00	2.254	24.1	0 0 3
44.21	2.049	28.3	3 3 1
45.04	2.013	27.3	4 0 0

Atomic structure:
```
data_Ce7Ga2Pt2
_chemical_formula_sum 'Ce14 Ga4 Pt4'
_symmetry_space_group_name_H-M 'C m m m'
_symmetry_Int_Tables_number 65
_symmetry_space_group_name_Hall '-C 2 2'
_cell_length_a 8.052
_cell_length_b 10.771
_cell_length_c 6.763
_cell_angle_alpha 90.00
_cell_angle_beta 90.00
_cell_angle_gamma 90.00
loop_
_atom_site_label
_atom_site_type_symbol
_atom_site_fract_x
_atom_site_fract_y
_atom_site_fract_z
Ce1 Ce 0.000 0.000 0.000
Ce2 Ce 0.000 0.500 0.296
Ce3 Ce 0.250 0.250 0.293
Ga1 Ga 0.155 0.000 0.500
Pt1 Pt 0.000 0.289 0.000
```

***

[5]
For CeGa4Pt2, the PBE geometry in Alexandria gives the computed X-ray diffraction stick pattern in this record (CuKα).

Principal peaks in the range 2θ = 10–90°, in order of rising 2θ:
two_theta	d_spacing	I_rel	h k l
28.82	3.098	39.3	2 0 2
35.45	2.533	100.0	2 1 2
35.68	2.516	58.6	5 1 1
37.30	2.411	15.4	6 1 0
38.87	2.317	32.4	7 0 1
41.10	2.196	56.0	0 2 0
46.55	1.951	35.6	6 1 2
46.81	1.941	17.6	8 1 0
47.17	1.927	19.9	2 1 3
57.84	1.594	20.8	7 2 1
68.45	1.371	15.6	12 1 0
71.22	1.324	22.8	0 2 4

Atomic structure:
```
data_CeGa4Pt2
_chemical_formula_sum 'Ce4 Ga16 Pt8'
_symmetry_space_group_name_H-M 'P n m a'
_symmetry_Int_Tables_number 62
_symmetry_space_group_name_Hall '-P 2ac 2n'
_cell_length_a 17.308
_cell_length_b 4.393
_cell_length_c 6.639
_cell_angle_alpha 90.00
_cell_angle_beta 90.00
_cell_angle_gamma 90.00
loop_
_atom_site_label
_atom_site_type_symbol
_atom_site_fract_x
_atom_site_fract_y
_atom_site_fract_z
Ce1 Ce 0.139 0.250 0.010
Ga1 Ga 0.037 0.750 0.838
Ga2 Ga 0.070 0.250 0.485
Ga3 Ga 0.183 0.750 0.319
Ga4 Ga 0.189 0.750 0.723
Pt1 Pt 0.036 0.750 0.244
Pt2 Pt 0.216 0.250 0.525
```

***

[6]
For TbCeGaPt, the PBE geometry in Alexandria gives the computed X-ray diffraction stick pattern in this record (CuKα).

Principal peaks in the range 2θ = 10–90°, in order of rising 2θ:
two_theta	d_spacing	I_rel	h k l
16.30	5.437	19.1	0 0 2
31.50	2.840	100.0	1 1 1
32.95	2.719	22.9	0 0 4
33.77	2.654	30.5	0 1 3
38.73	2.325	28.4	1 0 4
39.44	2.285	63.1	1 1 3
40.20	2.243	29.7	2 0 0
46.60	1.949	19.5	0 2 0
53.48	1.713	16.6	2 1 3
63.20	1.471	15.6	2 2 0
64.58	1.443	14.8	0 1 7
78.87	1.214	16.2	2 1 7

Atomic structure:
```
data_TbCeGaPt
_chemical_formula_sum 'Tb2 Ce2 Ga2 Pt2'
_symmetry_space_group_name_H-M 'A m m 2'
_symmetry_Int_Tables_number 38
_symmetry_space_group_name_Hall 'A 2 -2'
_cell_length_a 4.487
_cell_length_b 3.898
_cell_length_c 10.874
_cell_angle_alpha 90.00
_cell_angle_beta 90.00
_cell_angle_gamma 90.00
loop_
_atom_site_label
_atom_site_type_symbol
_atom_site_fract_x
_atom_site_fract_y
_atom_site_fract_z
Tb1 Tb 0.000 0.000 0.000
Ce1 Ce 0.500 0.000 0.283
Ga1 Ga 0.000 0.000 0.715
Pt1 Pt 0.500 0.000 0.564
```

***

[7]
For Ce2ZnGa3Pt6, the PBE geometry in Alexandria gives the computed X-ray diffraction stick pattern in this record (CuKα).

Principal peaks in the range 2θ = 10–90°, in order of rising 2θ:
two_theta	d_spacing	I_rel	h k l
22.37	3.973	28.8	0 0 4
28.07	3.179	38.7	0 0 5
31.58	2.833	31.8	1 0 4
31.82	2.812	100.0	1 1 1
33.32	2.689	40.5	1 1 2
35.70	2.515	45.2	1 1 3
38.82	2.320	39.7	1 1 4
42.54	2.125	26.3	1 1 5
44.86	2.020	81.8	2 0 0
45.84	1.979	37.4	1 0 7
46.76	1.943	55.0	1 1 6
65.32	1.429	26.7	2 2 0

Atomic structure:
```
data_Ce2ZnGa3Pt6
_chemical_formula_sum 'Ce2 Zn1 Ga3 Pt6'
_symmetry_space_group_name_H-M 'P 4/m m m'
_symmetry_Int_Tables_number 123
_symmetry_space_group_name_Hall '-P 4 2'
_cell_length_a 4.041
_cell_length_b 4.041
_cell_length_c 15.894
_cell_angle_alpha 90.00
_cell_angle_beta 90.00
_cell_angle_gamma 90.00
loop_
_atom_site_label
_atom_site_type_symbol
_atom_site_fract_x
_atom_site_fract_y
_atom_site_fract_z
Ce1 Ce 0.000 0.000 0.217
Zn1 Zn 0.000 0.000 0.500
Ga1 Ga 0.500 0.500 0.000
Ga2 Ga 0.500 0.500 0.309
Pt1 Pt 0.000 0.500 0.398
Pt2 Pt 0.500 0.500 0.152
```

***

[8]
For CeZnGa2Pt2, the PBE geometry in Alexandria gives the computed X-ray diffraction stick pattern in this record (CuKα).

Principal peaks in the range 2θ = 10–90°, in order of rising 2θ:
two_theta	d_spacing	I_rel	h k l
26.88	3.317	10.6	0 0 2
26.98	3.305	61.1	1 0 1
35.89	2.502	100.0	0 1 2
40.81	2.211	11.5	0 0 3
41.01	2.201	94.9	1 1 0
49.75	1.833	24.2	0 2 1
55.62	1.652	28.2	2 0 2
59.24	1.560	23.2	1 1 3
71.19	1.324	14.8	1 1 4
71.38	1.321	26.5	1 2 2
74.72	1.270	16.1	3 0 0
88.96	1.100	10.6	2 2 0

Atomic structure:
```
data_CeZnGa2Pt2
_chemical_formula_sum 'Ce1 Zn1 Ga2 Pt2'
_symmetry_space_group_name_H-M 'P -3 m 1'
_symmetry_Int_Tables_number 164
_symmetry_space_group_name_Hall '-P 3 2"'
_cell_length_a 4.4011
_cell_length_b 4.4011
_cell_length_c 6.6338
_cell_angle_alpha 90.00
_cell_angle_beta 90.00
_cell_angle_gamma 120.00
loop_
_atom_site_label
_atom_site_type_symbol
_atom_site_fract_x
_atom_site_fract_y
_atom_site_fract_z
Ce1 Ce 0.0000 0.0000 0.0000
Zn1 Zn 0.0000 0.0000 0.5000
Ga1 Ga 0.3333 0.6667 0.2993
Pt1 Pt 0.3333 0.6667 0.7109
```

***

[9]
For Ce4Pu4Ga3, the PBE geometry in Alexandria gives the computed X-ray diffraction stick pattern in this record (CuKα).

Principal peaks in the range 2θ = 10–90°, in order of rising 2θ:
two_theta	d_spacing	I_rel	h k l
19.96	4.449	57.6	3 1 0
30.40	2.940	25.3	6 0 -1
32.15	2.784	30.8	6 0 1
34.14	2.626	73.1	5 1 -1
35.44	2.533	90.0	5 1 1
35.98	2.496	26.5	12 0 0
36.15	2.485	100.0	0 2 0
37.02	2.428	57.2	7 1 -1
37.67	2.388	73.1	11 1 0
51.92	1.761	18.8	12 2 0
59.01	1.565	21.4	7 1 -2
64.55	1.444	20.0	5 3 1

Atomic structure:
```
data_Ce4Pu4Ga3
_chemical_formula_sum 'Ce8 Pu8 Ga6'
_symmetry_space_group_name_H-M 'C 1 m 1'
_symmetry_Int_Tables_number 8
_symmetry_space_group_name_Hall 'C -2y'
_cell_length_a 30.001
_cell_length_b 4.970
_cell_length_c 3.496
_cell_angle_alpha 90.00
_cell_angle_beta 93.26
_cell_angle_gamma 90.00
loop_
_atom_site_label
_atom_site_type_symbol
_atom_site_fract_x
_atom_site_fract_y
_atom_site_fract_z
Ce1 Ce 0.000 0.000 0.000
Ce2 Ce 0.071 0.500 0.518
Ce3 Ce 0.218 0.000 0.910
Ce4 Ce 0.391 0.000 0.017
Pu1 Pu 0.121 0.000 0.474
Pu2 Pu 0.242 0.500 0.581
Pu3 Pu 0.317 0.500 0.969
Pu4 Pu 0.471 0.000 0.669
Ga1 Ga 0.156 0.500 0.045
Ga2 Ga 0.302 0.000 0.460
Ga3 Ga 0.411 0.500 0.511
```

***

[10]
For Ce3Pu3Ga5, the PBE geometry in Alexandria gives the computed X-ray diffraction stick pattern in this record (CuKα).

Principal peaks in the range 2θ = 10–90°, in order of rising 2θ:
two_theta	d_spacing	I_rel	h k l
12.43	7.122	90.6	0 0 1
14.25	6.215	68.0	0 1 0
28.55	3.126	37.1	1 1 -2
28.67	3.113	44.5	0 2 -1
31.58	2.833	42.4	-1 2 1
32.13	2.786	31.8	1 -2 1
33.64	2.664	100.0	1 1 1
33.90	2.644	42.3	-2 1 1
35.06	2.560	41.1	1 -1 2
36.74	2.446	43.4	-2 1 2
36.88	2.437	67.4	1 1 -3
38.34	2.348	70.4	-1 2 2

Atomic structure:
```
data_Ce3Pu3Ga5
_chemical_formula_sum 'Ce3 Pu3 Ga5'
_symmetry_space_group_name_H-M 'P 1'
_symmetry_Int_Tables_number 1
_symmetry_space_group_name_Hall 'P 1'
_cell_length_a 5.381
_cell_length_b 6.558
_cell_length_c 7.780
_cell_angle_alpha 97.14
_cell_angle_beta 110.07
_cell_angle_gamma 103.52
loop_
_atom_site_label
_atom_site_type_symbol
_atom_site_fract_x
_atom_site_fract_y
_atom_site_fract_z
Ce1 Ce 0.000 0.000 0.000
Ce2 Ce 0.056 0.686 0.326
Ce3 Ce 0.144 0.287 0.622
Pu1 Pu 0.256 0.796 0.810
Pu2 Pu 0.449 0.009 0.621
Pu3 Pu 0.783 0.712 0.576
Ga1 Ga 0.372 0.526 0.090
Ga2 Ga 0.479 0.293 0.356
Ga3 Ga 0.602 0.231 0.043
Ga4 Ga 0.624 0.944 0.262
Ga5 Ga 0.831 0.457 0.869
```

***

[11]
For Ce3Pu3Ga2, the PBE geometry in Alexandria gives the computed X-ray diffraction stick pattern in this record (CuKα).

Principal peaks in the range 2θ = 10–90°, in order of rising 2θ:
two_theta	d_spacing	I_rel	h k l
21.28	4.175	34.3	1 1 0
30.85	2.898	23.2	2 0 2
34.08	2.631	54.7	2 1 1
35.12	2.556	100.0	1 1 3
37.30	2.411	40.8	3 0 0
37.78	2.381	21.0	1 2 2
54.14	1.694	14.9	0 4 2
56.25	1.635	19.6	3 2 1
58.35	1.581	12.0	1 2 5
58.83	1.570	12.3	2 3 2
64.28	1.449	15.9	4 0 4
73.57	1.287	14.8	5 1 1

Atomic structure:
```
data_Ce3Pu3Ga2
_chemical_formula_sum 'Ce9 Pu9 Ga6'
_symmetry_space_group_name_H-M 'R 3 2'
_symmetry_Int_Tables_number 155
_symmetry_space_group_name_Hall 'R 3 2"'
_cell_length_a 8.3504
_cell_length_b 8.3504
_cell_length_c 9.6949
_cell_angle_alpha 90.00
_cell_angle_beta 90.00
_cell_angle_gamma 120.00
loop_
_atom_site_label
_atom_site_type_symbol
_atom_site_fract_x
_atom_site_fract_y
_atom_site_fract_z
Ce1 Ce 0.0000 0.7264 0.0000
Pu1 Pu 0.0000 0.2727 0.5000
Ga1 Ga 0.0000 0.0000 0.2467
```

***

[12]
For CePu2Ga6, the PBE geometry in Alexandria gives the computed X-ray diffraction stick pattern in this record (CuKα).

Principal peaks in the range 2θ = 10–90°, in order of rising 2θ:
two_theta	d_spacing	I_rel	h k l
14.19	6.241	38.1	0 1 1
21.08	4.214	16.0	1 0 1
23.51	3.784	33.9	1 1 0
24.25	3.671	17.8	0 1 3
27.36	3.260	17.2	1 1 2
32.88	2.724	100.0	1 2 1
36.72	2.448	68.8	1 1 4
37.21	2.416	25.5	0 1 5
40.48	2.228	62.3	2 0 0
43.50	2.080	30.9	0 3 3
56.12	1.639	15.8	2 1 5
60.89	1.521	22.7	2 3 3

Atomic structure:
```
data_CePu2Ga6
_chemical_formula_sum 'Ce2 Pu4 Ga12'
_symmetry_space_group_name_H-M 'I m m m'
_symmetry_Int_Tables_number 71
_symmetry_space_group_name_Hall '-I 2 2'
_cell_length_a 4.461
_cell_length_b 7.142
_cell_length_c 12.838
_cell_angle_alpha 90.00
_cell_angle_beta 90.00
_cell_angle_gamma 90.00
loop_
_atom_site_label
_atom_site_type_symbol
_atom_site_fract_x
_atom_site_fract_y
_atom_site_fract_z
Ce1 Ce 0.000 0.000 0.000
Pu1 Pu 0.000 0.500 0.118
Ga1 Ga 0.000 0.189 0.500
Ga2 Ga 0.000 0.303 0.312
```

***

[13]
For Ce3PuGa, the PBE geometry in Alexandria gives the computed X-ray diffraction stick pattern in this record (CuKα).

Principal peaks in the range 2θ = 10–90°, in order of rising 2θ:
two_theta	d_spacing	I_rel	h k l
20.76	4.279	58.1	1 0 -1
26.77	3.330	25.1	1 1 -1
31.74	2.820	83.4	-1 1 2
31.87	2.808	100.0	1 -2 0
33.97	2.639	31.6	0 2 2
34.42	2.606	35.2	2 0 1
35.87	2.503	83.0	2 1 1
37.37	2.406	31.6	1 1 -2
37.49	2.399	56.3	1 2 -1
42.24	2.140	21.9	2 0 2
47.35	1.920	36.4	0 1 -3
50.14	1.819	21.7	3 0 -1

Atomic structure:
```
data_Ce3PuGa
_chemical_formula_sum 'Ce6 Pu2 Ga2'
_symmetry_space_group_name_H-M 'P 1'
_symmetry_Int_Tables_number 1
_symmetry_space_group_name_Hall 'P 1'
_cell_length_a 5.687
_cell_length_b 6.664
_cell_length_c 6.712
_cell_angle_alpha 75.79
_cell_angle_beta 89.95
_cell_angle_gamma 89.96
loop_
_atom_site_label
_atom_site_type_symbol
_atom_site_fract_x
_atom_site_fract_y
_atom_site_fract_z
Ce1 Ce 0.000 0.000 0.000
Ce2 Ce 0.063 0.500 0.500
Ce3 Ce 0.208 0.545 0.891
Ce4 Ce 0.484 0.721 0.297
Ce5 Ce 0.579 0.222 0.797
Ce6 Ce 0.856 0.045 0.392
Pu1 Pu 0.244 0.952 0.693
Pu2 Pu 0.820 0.451 0.194
Ga1 Ga 0.355 0.217 0.270
Ga2 Ga 0.708 0.718 0.771
```